Theoretical powder X-ray diffraction pattern
Compound: Ce2NiSn4
Radiation: Cu Kα, 1.54184 Å
Structure: a cell relaxed with PBE
Neutral-atom scattering factors, no anomalous dispersion.

```
Ce2NiSn4
1.0
4.4979 0.0000 0.0000
0.0000 2.2621 8.6360
0.0000 -2.2621 8.6360
Ce Ni Sn
2 1 4
direct
0.0000 0.0000 0.0000 Ce
0.5000 0.2073 0.2073 Ce
0.0000 0.7938 0.7938 Ni
0.0000 0.3628 0.3628 Sn
0.0000 0.6491 0.6491 Sn
0.5000 0.5367 0.5367 Sn
0.5000 0.8633 0.8633 Sn
```

Most intense lines, 2θ = 10–90°, in order of rising 2θ:
| Position (°2θ) | d_spacing | I_rel |
| --- | --- | --- |
| 31.07 | 2.879 | 15 |
| 32.08 | 2.790 | 100 |
| 32.61 | 2.746 | 9 |
| 37.08 | 2.425 | 15 |
| 39.85 | 2.262 | 21 |
| 40.09 | 2.249 | 20 |
| 55.56 | 1.654 | 9 |
| 57.81 | 1.595 | 14 |
| 67.47 | 1.388 | 18 |
| 67.83 | 1.382 | 13 |

***

Theoretical powder X-ray diffraction pattern
Compound: Ce6Tc2Ni
Radiation: Cu Kα, 1.54184 Å
Structure: a cell relaxed with PBE
Neutral-atom scattering factors, no anomalous dispersion.

```
Ce6Tc2Ni
1.0
3.5129 0.0000 0.0000
0.0000 7.7590 3.7339
0.0000 -7.7590 3.7339
Ce Tc Ni
6 2 1
direct
0.0000 0.0000 0.0000 Ce
0.0000 0.4784 0.7488 Ce
0.0000 0.7488 0.4784 Ce
0.5000 0.1616 0.7906 Ce
0.5000 0.3016 0.3016 Ce
0.5000 0.7906 0.1616 Ce
0.0000 0.1356 0.4721 Tc
0.0000 0.4721 0.1356 Tc
0.5000 0.7041 0.7041 Ni
```

Most intense lines, 2θ = 10–90°, in order of rising 2θ:
| Position (°2θ) | d_spacing | I_rel |
| --- | --- | --- |
| 31.21 | 2.866 | 22 |
| 33.08 | 2.708 | 100 |
| 34.44 | 2.604 | 15 |
| 34.68 | 2.586 | 32 |
| 36.56 | 2.458 | 32 |
| 37.00 | 2.430 | 46 |
| 42.32 | 2.136 | 15 |
| 52.07 | 1.756 | 16 |
| 59.83 | 1.546 | 19 |
| 61.12 | 1.516 | 13 |

***

Theoretical powder X-ray diffraction pattern
Compound: CeTiNi17
Radiation: Cu Kα, 1.54184 Å
Structure: a cell relaxed with PBE
Neutral-atom scattering factors, no anomalous dispersion.

```
CeTiNi17
1.0
4.0909 2.3619 4.0101
-4.0909 2.3619 4.0101
0.0000 -4.7237 4.0101
Ce Ti Ni
1 1 17
direct
0.0000 0.0000 0.0000 Ce
0.3389 0.3389 0.3389 Ti
0.0126 0.0126 0.4926 Ni
0.0126 0.4926 0.0126 Ni
0.1545 0.6623 0.6623 Ni
0.3153 0.3153 0.8021 Ni
0.3153 0.8021 0.3153 Ni
0.3593 0.6546 0.9617 Ni
0.3593 0.9617 0.6546 Ni
0.4926 0.0126 0.0126 Ni
0.5558 0.5558 0.5558 Ni
0.6546 0.3593 0.9617 Ni
0.6546 0.9617 0.3593 Ni
0.6623 0.1545 0.6623 Ni
0.6623 0.6623 0.1545 Ni
0.7562 0.7562 0.7562 Ni
0.8021 0.3153 0.3153 Ni
0.9617 0.3593 0.6546 Ni
0.9617 0.6546 0.3593 Ni
```

Most intense lines, 2θ = 10–90°, in order of rising 2θ:
| Position (°2θ) | d_spacing | I_rel |
| --- | --- | --- |
| 38.10 | 2.362 | 37 |
| 39.30 | 2.293 | 25 |
| 44.28 | 2.045 | 57 |
| 44.52 | 2.035 | 100 |
| 45.22 | 2.005 | 34 |
| 45.57 | 1.990 | 21 |
| 50.06 | 1.822 | 52 |
| 65.18 | 1.431 | 18 |
| 81.51 | 1.181 | 23 |
| 83.01 | 1.163 | 18 |

***

Theoretical powder X-ray diffraction pattern
Compound: Ce2Tm2Ni15
Radiation: Cu Kα, 1.54184 Å
Structure: a cell relaxed with PBE
Neutral-atom scattering factors, no anomalous dispersion.

```
Ce2Tm2Ni15
1.0
4.2338 2.4444 4.2184
-4.2338 2.4444 4.2184
0.0000 -4.8887 4.2184
Ce Tm Ni
2 2 15
direct
0.1086 0.1086 0.1086 Ce
0.8914 0.8914 0.8914 Ce
0.3645 0.3645 0.3645 Tm
0.6355 0.6355 0.6355 Tm
0.0000 0.0000 0.5000 Ni
0.0000 0.3215 0.6785 Ni
0.0000 0.5000 0.0000 Ni
0.0000 0.6785 0.3215 Ni
0.1700 0.6544 0.6544 Ni
0.3215 0.0000 0.6785 Ni
0.3215 0.6785 0.0000 Ni
0.3456 0.3456 0.8300 Ni
0.3456 0.8300 0.3456 Ni
0.5000 0.0000 0.0000 Ni
0.6544 0.1700 0.6544 Ni
0.6544 0.6544 0.1700 Ni
0.6785 0.0000 0.3215 Ni
0.6785 0.3215 0.0000 Ni
0.8300 0.3456 0.3456 Ni
```

Most intense lines, 2θ = 10–90°, in order of rising 2θ:
| Position (°2θ) | d_spacing | I_rel |
| --- | --- | --- |
| 20.98 | 4.234 | 15 |
| 30.78 | 2.905 | 33 |
| 36.77 | 2.444 | 47 |
| 37.55 | 2.395 | 32 |
| 42.73 | 2.116 | 100 |
| 42.88 | 2.109 | 14 |
| 43.41 | 2.085 | 36 |
| 48.09 | 1.892 | 25 |
| 53.57 | 1.711 | 13 |
| 78.21 | 1.222 | 18 |